Entry 1:
Starting from a DFT-relaxed cell (GGA+U, the Materials Project), the X-ray diffraction stick pattern of Li4NbFe3O12 was simulated for Cu Ka.
Neutral-atom scattering factors, no anomalous dispersion.

Structural model:
```
20
Lattice="4.944 0.000 0.000 0.000 8.252 0.000 -0.088 0.000 5.022" Properties=species:S:1:pos:R:3 pbc="T T T"
Li 0.000 0.000 0.000
Li -0.044 3.111 2.511
Li 2.428 3.948 2.511
Li 2.472 7.251 0.000
Nb -0.044 6.449 2.511
Fe 0.000 4.790 0.000
Fe 2.428 0.779 2.511
Fe 2.472 2.302 0.000
O 0.925 4.855 1.598
O 0.947 6.213 4.215
O 1.143 3.502 4.250
O 1.253 7.719 1.777
O 1.434 0.874 4.101
O 1.484 2.163 1.597
O 3.373 2.163 3.425
O 3.423 0.874 0.921
O 3.604 7.719 3.245
O 3.713 3.502 0.772
O 3.909 6.213 0.807
O 3.931 4.855 3.425
```

Most intense lines, 2θ from 10° to 90°, in order of rising 2θ:
2theta	I (rel.)
20.7	35
20.9	100
33.3	30
33.6	27
37.3	11
41.5	17
51.4	12
52.8	13
53.3	14
65.2	10

***

Entry 2:
Starting from a DFT-relaxed cell (GGA+U, the Materials Project), the X-ray diffraction stick pattern of Li3Mn3SbO8 was simulated for Cu Ka.
Neutral-atom scattering factors, no anomalous dispersion.

Structural model:
```
15
Lattice="3.100 1.790 4.964 -3.100 1.790 4.964 0.000 -3.579 4.964" Properties=species:S:1:pos:R:3 pbc="T T T"
Li -1.550 -0.895 4.964
Li -1.550 0.895 9.928
Li 0.000 1.790 4.964
Mn -3.100 0.000 7.446
Mn -1.550 0.895 2.482
Mn 1.550 0.895 2.482
Sb 0.000 0.000 7.446
O 0.000 0.000 3.421
O 0.000 -1.646 6.296
O -1.426 0.823 6.296
O -1.426 -0.823 8.595
O 1.426 0.823 6.296
O 1.426 -0.823 8.595
O 0.000 1.646 8.595
O 0.000 0.000 11.471
```

Most intense lines, 2θ from 10° to 90°, in order of rising 2θ:
2theta	I (rel.)
17.6	20
17.9	100
33.9	46
35.6	18
41.5	66
45.5	16
55.1	15
59.7	20
60.5	18
62.8	17

***

Entry 3:
Starting from a DFT-relaxed cell (GGA+U, the Materials Project), the X-ray diffraction stick pattern of Zn2MoW2O8 was simulated for Cu Ka.
Neutral-atom scattering factors, no anomalous dispersion.

Structural model:
```
26
Lattice="6.303 0.000 0.000 3.129 5.512 0.000 0.045 0.047 9.488" Properties=species:S:1:pos:R:3 pbc="T T T"
Zn 0.000 0.000 0.000
Zn 0.040 0.046 5.891
Zn 3.127 1.868 1.175
Zn 3.210 1.837 4.739
Mo 6.327 1.871 3.092
Mo 7.884 4.599 3.125
W 4.779 4.580 3.105
W 4.784 2.808 7.851
W 6.327 5.521 7.849
W 7.891 2.808 7.849
O 3.231 5.496 2.012
O 1.452 0.809 4.284
O 3.287 3.854 4.268
O 1.771 1.048 9.001
O 3.184 3.536 9.027
O 3.185 1.870 6.741
O 4.771 4.611 6.893
O 6.145 5.509 2.139
O 4.739 2.786 2.164
O 4.599 1.059 9.047
O 6.243 3.684 4.158
O 6.337 3.718 8.911
O 4.926 0.884 4.294
O 6.337 1.886 6.902
O 7.897 4.619 6.895
O 7.833 2.706 2.136
```

Most intense lines, 2θ from 10° to 90°, in order of rising 2θ:
2theta	I (rel.)
18.7	100
24.8	21
32.5	22
32.7	43
33.9	62
34.0	54
34.1	40
34.2	32
37.9	27
43.7	30